This entry pairs a crystal structure of Sr3Mn2Cu2S2O5 with its simulated powder X-ray diffraction pattern. Radiation: CuKα. Structure: a cell relaxed with GGA+U.
Intensities are scaled so that the largest is 100.

Largest 8 diffraction maxima, in order of rising 2θ, 10° ≤ 2θ ≤ 90°:
- 2θ = 32.18°, I = 20
- 2θ = 32.43°, I = 100
- 2θ = 32.87°, I = 20
- 2θ = 34.86°, I = 15
- 2θ = 37.98°, I = 42
- 2θ = 46.15°, I = 46
- 2θ = 57.53°, I = 37
- 2θ = 58.02°, I = 28

Cell and atoms:
Cell lengths 13.8412, 13.8412, 13.8412 Å; angles 163.66, 163.66, 23.19 degrees
Fractional positions:
Sr1 0.0000 0.0000 0.0000
Sr2 0.1418 0.1418 0.0000
Sr3 0.8582 0.8582 0.0000
Mn1 0.4261 0.4261 0.0000
Mn2 0.5739 0.5739 0.0000
Cu1 0.2500 0.7500 0.5000
Cu2 0.7500 0.2500 0.5000
S1 0.3012 0.3012 0.0000
S2 0.6988 0.6988 0.0000
O1 0.0838 0.5838 0.5000
O2 0.4162 0.9162 0.5000
O3 0.5000 0.5000 0.0000
O4 0.5838 0.0838 0.5000
O5 0.9162 0.4162 0.5000